Entry 1:
For Nd5Tl2O2, a cell relaxed with GGA-PBE gives the computed powder X-ray diffraction pattern in this record (CuKα).
Intensities are scaled so that the largest is 100.

Cell and atoms:
abc: 7.055 19.311 7.114
angles: 90.00 90.00 90.00
Space group Imma (No. 74)
One atom of each set of equivalent atoms:
Nd 0.000 0.137 0.072
Nd 0.250 0.012 0.750
Nd 0.250 0.250 0.750
Tl 0.000 0.127 0.521
O 0.000 0.000 0.000
O 0.000 0.250 0.974

Top 12 peaks for 10 to 90 degrees two-theta, in order of rising 2θ:
h k l  d [Å]  I/Imax
0 5 1  3.394  14
1 1 2  3.134  12
2 1 1  3.119  10
0 4 2  2.864  75
2 4 0  2.848  100
2 0 2  2.505  62
0 8 0  2.414  29
4 0 0  1.764  14
2 8 2  1.738  35
2 4 4  1.509  12
4 4 2  1.502  22
4 8 0  1.424  11

---

Entry 2:
For AlAg3Pb, a cell relaxed with GGA-PBE gives the computed powder X-ray diffraction pattern in this record (CuKα).
Intensities are scaled so that the largest is 100.

Cell and atoms:
abc: 4.931 4.931 4.931
angles: 90.00 90.00 90.00
Space group Pm-3m (No. 221)
One atom of each set of equivalent atoms:
Al 0.000 0.000 0.000
Ag 0.000 0.000 0.500
Pb 0.500 0.500 0.500

Top 12 peaks for 10 to 90 degrees two-theta, in order of rising 2θ:
h k l  d [Å]  I/Imax
1 0 0  4.931  4
1 1 0  3.487  13
1 1 1  2.847  100
2 0 0  2.466  61
2 1 1  2.013  6
2 2 0  1.743  42
3 1 1  1.487  40
2 2 2  1.424  14
3 2 1  1.318  4
4 0 0  1.233  7
3 3 1  1.131  17
4 2 0  1.103  20